The following is a simulated powder X-ray diffraction pattern of Ac2MgVN4. It was derived from DFT lattice parameters and positions (GGA-PBE), using copper Kα.
No peak broadening, texture or thermal motion is included.

```
Ac2MgVN4
1.0
0.000 5.633 9.675
2.407 0.000 9.675
2.407 5.633 0.000
Ac Mg V N
4 2 2 8
Cartesian
1.805 4.225 1.012
3.009 7.041 5.850
1.805 4.225 13.501
3.009 7.041 18.339
0.602 1.408 2.419
4.213 9.857 16.932
1.805 4.225 7.257
3.009 7.041 12.094
1.913 2.608 3.342
2.902 5.425 8.180
1.698 5.841 3.342
1.698 2.608 11.171
3.117 8.657 8.180
3.117 5.425 16.009
1.913 5.841 11.171
2.902 8.657 16.009
```

Principal peaks in the range 2θ = 10–90°, in order of rising 2θ:
4.868 Å, I 32.8
3.650 Å, I 100.0
2.914 Å, I 22.5
2.816 Å, I 30.2
2.799 Å, I 62.6
2.691 Å, I 59.7
2.352 Å, I 21.5
2.214 Å, I 36.2
1.929 Å, I 22.8
1.592 Å, I 22.9


The following is a simulated powder X-ray diffraction pattern of AcMgNb. It was derived from DFT lattice parameters and positions (GGA-PBE), using copper Kα.
No peak broadening, texture or thermal motion is included.

```
AcMgNb
1.0
3.814 0.000 0.000
0.000 3.814 0.000
0.000 0.000 11.790
Ac Mg Nb
2 2 2
Cartesian
0.000 0.000 2.486
0.000 0.000 9.303
0.000 0.000 5.895
1.907 1.907 0.000
1.907 1.907 4.683
1.907 1.907 7.106
```

Principal peaks in the range 2θ = 10–90°, in order of rising 2θ:
5.895 Å, I 41.5
3.814 Å, I 23.5
3.629 Å, I 31.0
3.202 Å, I 100.0
2.737 Å, I 59.1
2.697 Å, I 76.6
2.332 Å, I 36.0
1.907 Å, I 28.0
1.775 Å, I 35.3
1.638 Å, I 29.3


The following is a simulated powder X-ray diffraction pattern of Ac2MgNbO6. It was derived from DFT lattice parameters and positions (GGA-PBE), using copper Kα.
No peak broadening, texture or thermal motion is included.

```
Ac2MgNbO6
1.0
5.836 0.000 0.000
0.000 5.780 0.000
-5.813 0.000 8.178
Ac Mg Nb O
4 2 2 12
Cartesian
-0.027 0.253 2.036
-2.934 2.637 6.125
2.956 3.143 2.053
0.050 5.527 6.143
2.918 0.000 0.000
0.011 2.890 4.089
-2.907 0.000 4.089
0.000 2.890 0.000
-4.571 1.244 7.809
-1.664 1.646 3.720
-4.133 4.081 7.892
-1.226 4.589 3.803
-2.459 0.035 6.121
0.448 2.855 2.032
-0.425 2.925 6.147
2.482 5.745 2.058
1.249 1.191 4.376
4.156 1.699 0.287
1.687 4.134 4.458
4.593 4.536 0.369
```

Principal peaks in the range 2θ = 10–90°, in order of rising 2θ:
4.100 Å, I 51.7
2.918 Å, I 26.3
2.898 Å, I 100.0
2.890 Å, I 21.1
2.360 Å, I 12.4
2.053 Å, I 23.0
2.045 Å, I 14.0
1.682 Å, I 11.7
1.678 Å, I 17.6
1.671 Å, I 18.3